Entry 1:
K2AlH2OF5: simulated X-ray diffraction stick pattern (Cu Kα, 1.54184 Å), based on a crystal structure in the Materials Project, relaxed with GGA-PBE.

Atomic structure:
Cell lengths 9.4244, 8.1060, 7.6090 Å; angles 90.00, 90.00, 90.00 degrees
Space group Cmcm (No. 63)
Unique sites:
K (0.2105, 0.2133, 0.2500) [8 per cell]
Al (0.0000, 0.5000, 0.0000) [4 per cell]
H (0.0000, 0.1080, 0.6481) [8 per cell]
O (0.0000, 0.0329, 0.7500) [4 per cell]
F (0.0000, 0.2759, 0.5023) [8 per cell]
F (0.0000, 0.4944, 0.2500) [4 per cell]
F (0.1910, 0.5000, 0.0000) [8 per cell]

Most intense lines, 2θ from 5° to 70°, low angle first:
14.41°, I 62, (1 1 0); 27.57°, I 32, (1 1 2); 30.19°, I 25, (2 0 2); 32.76°, I 27, (3 1 1); 37.63°, I 100, (2 2 2); 38.20°, I 29, (4 0 0); 44.72°, I 23, (0 4 0); 47.82°, I 29, (0 0 4)

Entry 2:
YGa40Mo8: simulated X-ray diffraction stick pattern (Cu Kα, 1.54184 Å), based on a crystal structure in the Materials Project, relaxed with GGA-PBE.

Atomic structure:
Cell lengths 14.1728, 14.1728, 15.3207 Å; angles 90.00, 90.00, 120.00 degrees
Space group R-3 (No. 148, hexagonal axes)
Unique sites:
Y (0.0000, 0.0000, 0.0000) [3 per cell]
Ga (0.0000, 0.0000, 0.5000) [3 per cell]
Ga (0.0000, 0.5000, 0.0000) [9 per cell]
Ga (0.0022, 0.8166, 0.7834) [18 per cell]
Ga (0.0124, 0.1278, 0.6632) [18 per cell]
Ga (0.0124, 0.3176, 0.7667) [18 per cell]
Ga (0.0145, 0.8436, 0.1210) [18 per cell]
Ga (0.0252, 0.4870, 0.6607) [18 per cell]
Ga (0.0960, 0.5608, 0.1725) [18 per cell]
Mo (0.0000, 0.0000, 0.2058) [6 per cell]
Mo (0.0133, 0.3032, 0.5973) [18 per cell]

Most intense lines, 2θ from 5° to 70°, low angle first:
30.71°, I 55, (2 2 3); 37.93°, I 50, (5 -4 3); 39.57°, I 53, (4 -1 5); 39.73°, I 65, (3 2 4); 41.38°, I 40, (5 1 1); 41.68°, I 61, (0 4 5); 43.69°, I 100, (4 -2 6); 44.28°, I 76, (6 0 0)